Starting from a DFT-relaxed cell (GGA+U, Alexandria), the powder diffractogram of CaMn2F10 was computed for CuKα.
Lines closer than 0.1° are merged.

Largest 10 diffraction maxima, by angle, 2θ = 10–90°:
17.34°, 5.114 Å, rel. 100; 21.87°, 4.064 Å, rel. 92; 26.30°, 3.389 Å, rel. 20; 27.10°, 3.290 Å, rel. 41; 27.68°, 3.223 Å, rel. 89; 44.59°, 2.032 Å, rel. 32; 48.25°, 1.886 Å, rel. 27; 49.30°, 1.848 Å, rel. 21; 52.91°, 1.731 Å, rel. 23; 53.74°, 1.706 Å, rel. 17

Crystal structure
Unit cell a=5.572 b=5.572 c=7.394 alpha=110.21 beta=110.21 gamma=72.37
Positions (direct):
Ca  0.000  0.000  0.000
Mn  0.462  0.531  0.746
Mn  0.469  0.538  0.254
F  0.171  0.788  0.271
F  0.212  0.829  0.729
F  0.219  0.341  0.630
F  0.270  0.283  0.129
F  0.391  0.609  0.000
F  0.536  0.464  0.500
F  0.659  0.781  0.370
F  0.715  0.243  0.792
F  0.717  0.730  0.871
F  0.757  0.285  0.208